Entry 1:
Diffraction record for Eu2Ti2O5. The powder XRD pattern is theoretical, not measured: it uses a structure optimized by DFT (GGA-PBE) and CuKα.
Lines closer than 0.1° are merged.

Principal peaks in the range 10° ≤ 2θ ≤ 80°, low angle first:
| 2θ (°) | I (rel.) | hkl |
| --- | --- | --- |
| 22.6 | 20.9 | 1 0 1 |
| 22.8 | 12.3 | 0 4 0 |
| 32.1 | 21.0 | 0 0 2 |
| 32.3 | 100.0 | 2 0 0 |
| 39.7 | 13.1 | 0 4 2 |
| 39.9 | 13.6 | 2 4 0 |
| 46.1 | 23.4 | 2 0 2 |
| 46.6 | 11.1 | 0 8 0 |
| 57.3 | 16.3 | 1 4 3 |
| 57.6 | 15.0 | 3 4 1 |
| 67.7 | 13.1 | 2 8 2 |
| 76.7 | 10.3 | 3 4 3 |

Atomic structure:
Unit cell a=5.548 b=15.578 c=5.585 alpha=90.00 beta=90.00 gamma=90.00
Space group Imma (No. 74)
One atom of each set of equivalent atoms:
1 Eu 0.000 0.121 0.001 [8 per cell]
2 Ti 0.000 0.000 0.500 [4 per cell]
3 Ti 0.000 0.250 0.496 [4 per cell]
4 O 0.000 0.128 0.557 [8 per cell]
5 O 0.250 0.014 0.250 [8 per cell]
6 O 0.250 0.250 0.250 [4 per cell]

Entry 2:
Diffraction record for Sm8Ho3Th2. The powder XRD pattern is theoretical, not measured: it uses a structure optimized by DFT (GGA-PBE) and CuKα.
Lines closer than 0.1° are merged.

Principal peaks in the range 10° ≤ 2θ ≤ 80°, low angle first:
| 2θ (°) | I (rel.) | hkl |
| --- | --- | --- |
| 30.5 | 100.0 | 1 -2 0 |
| 30.8 | 52.5 | 0 1 6 |
| 30.9 | 44.9 | 2 1 3 |
| 34.3 | 39.2 | 1 -1 6 |
| 34.9 | 32.3 | 2 0 -3 |
| 37.5 | 24.9 | 1 3 3 |
| 49.8 | 22.3 | 3 -1 3 |
| 52.1 | 18.6 | -1 3 6 |
| 52.2 | 11.9 | 3 3 0 |
| 58.8 | 13.9 | 2 -3 6 |
| 59.5 | 13.0 | 1 0 12 |
| 59.9 | 13.4 | 3 2 -6 |

Atomic structure:
Unit cell a=6.221 b=7.707 c=18.821 alpha=86.34 beta=81.24 gamma=77.77
Space group P-1 (No. 2)
One atom of each set of equivalent atoms:
1 Sm 0.002 0.480 0.177 [2 per cell]
2 Sm 0.112 0.031 0.239 [2 per cell]
3 Sm 0.113 0.054 0.577 [2 per cell]
4 Sm 0.233 0.594 0.316 [2 per cell]
5 Sm 0.338 0.160 0.386 [2 per cell]
6 Sm 0.375 0.147 0.060 [2 per cell]
7 Sm 0.449 0.716 0.463 [2 per cell]
8 Sm 0.451 0.674 0.112 [2 per cell]
9 Ho 0.000 0.500 0.000 [1 per cell]
10 Ho 0.000 0.500 0.500 [1 per cell]
11 Ho 0.333 0.184 0.728 [2 per cell]
12 Ho 0.429 0.745 0.790 [2 per cell]
13 Th 0.086 0.065 0.916 [2 per cell]
14 Th 0.220 0.618 0.648 [2 per cell]

Entry 3:
Diffraction record for Y3Cu2Hg4. The powder XRD pattern is theoretical, not measured: it uses a structure optimized by DFT (GGA-PBE) and CuKα.
Lines closer than 0.1° are merged.

Principal peaks in the range 10° ≤ 2θ ≤ 80°, low angle first:
| 2θ (°) | I (rel.) | hkl |
| --- | --- | --- |
| 25.3 | 44.5 | 2 0 1 |
| 27.6 | 22.9 | 1 1 -2 |
| 33.4 | 22.4 | 4 0 -1 |
| 33.6 | 71.8 | 3 1 0 |
| 33.7 | 77.8 | 0 0 3 |
| 38.1 | 100.0 | 3 1 -3 |
| 38.4 | 52.0 | 0 2 0 |
| 46.6 | 18.2 | 2 2 1 |
| 51.8 | 20.2 | 2 0 -5 |
| 52.0 | 41.1 | 4 0 2 |
| 65.9 | 28.5 | 7 1 -1 |
| 66.4 | 53.1 | 4 2 2 |

Atomic structure:
Unit cell a=10.863 b=4.687 c=8.910 alpha=90.00 beta=116.32 gamma=90.00
Space group C2/m (No. 12)
One atom of each set of equivalent atoms:
1 Y 0.000 0.000 0.000 [2 per cell]
2 Y 0.172 0.500 0.654 [4 per cell]
3 Cu 0.099 0.500 0.272 [4 per cell]
4 Hg 0.049 0.000 0.374 [4 per cell]
5 Hg 0.216 0.500 0.067 [4 per cell]

Entry 4:
Diffraction record for Pr8DyHo3. The powder XRD pattern is theoretical, not measured: it uses a structure optimized by DFT (GGA-PBE) and CuKα.
Lines closer than 0.1° are merged.

Principal peaks in the range 10° ≤ 2θ ≤ 80°, low angle first:
| 2θ (°) | I (rel.) | hkl |
| --- | --- | --- |
| 29.6 | 59.7 | 0 4 0 |
| 31.6 | 100.0 | 0 2 3 |
| 42.3 | 22.3 | 2 4 1 |
| 48.2 | 7.6 | 2 0 -5 |
| 53.8 | 33.6 | 0 6 3 |
| 53.9 | 10.3 | 4 2 -1 |
| 57.5 | 13.6 | 0 0 6 |
| 61.4 | 7.3 | 0 8 0 |
| 66.0 | 6.1 | 0 4 6 |
| 66.1 | 5.5 | 4 4 -4 |
| 69.6 | 10.1 | 2 8 1 |
| 70.7 | 4.9 | 2 6 4 |

Atomic structure:
Unit cell a=7.110 b=12.085 c=9.920 alpha=90.00 beta=104.18 gamma=90.00
Space group C2/m (No. 12)
One atom of each set of equivalent atoms:
1 Pr 0.068 0.249 0.334 [8 per cell]
2 Pr 0.181 0.500 0.167 [4 per cell]
3 Pr 0.182 0.000 0.165 [4 per cell]
4 Dy 0.000 0.500 0.500 [2 per cell]
5 Ho 0.000 0.000 0.500 [2 per cell]
6 Ho 0.250 0.250 0.000 [4 per cell]